[1]
# Tb3Mn3B8
Simulated powder diffraction line list, Cu Kα X-rays. Input: a structure optimized by DFT (GGA-PBE).

Structure:
a b c (Å): 3.171 7.877 13.096
angles (deg): 90.00 90.00 90.00
Space group Immm (No. 71)
Asymmetric unit:
Tb (0.000, 0.000, 0.000) (multiplicity 2)
Tb (0.000, 0.000, 0.275) (multiplicity 4)
Mn (0.000, 0.199, 0.500) (multiplicity 4)
Mn (0.000, 0.500, 0.000) (multiplicity 2)
B (0.000, 0.271, 0.121) (multiplicity 8)
B (0.000, 0.315, 0.366) (multiplicity 8)

The 12 most intense peaks (5 to 70 degrees two-theta), sorted by position:
d [Å], Rel. int.
3.939, 78
3.818, 40
3.274, 93
2.942, 100
2.518, 65
2.427, 38
2.250, 31
2.188, 78
2.150, 88
2.022, 28
1.969, 29
1.491, 46

=====

[2]
# TbMnB
Simulated powder diffraction line list, Cu Kα X-rays. Input: a structure optimized by DFT (GGA-PBE).

Structure:
a b c (Å): 3.489 3.489 8.027
angles (deg): 90.00 90.00 90.00
Space group P4/nmm (No. 129, origin choice 2)
Asymmetric unit:
Tb (0.250, 0.250, 0.192) (multiplicity 2)
Mn (0.250, 0.750, 0.500) (multiplicity 2)
B (0.250, 0.250, 0.649) (multiplicity 2)

The 12 most intense peaks (5 to 70 degrees two-theta), sorted by position:
d [Å], Rel. int.
3.199, 100
2.676, 28
2.633, 39
2.467, 15
2.358, 26
2.102, 48
1.744, 21
1.739, 23
1.531, 24
1.461, 17
1.454, 12
1.346, 16

=====

[3]
# Th2Mn17B2
Simulated powder diffraction line list, Cu Kα X-rays. Input: a structure optimized by DFT (GGA-PBE).

Structure:
a b c (Å): 9.661 8.742 6.481
angles (deg): 90.00 98.49 90.00
Space group C2/m (No. 12)
Asymmetric unit:
Th (0.140, 0.000, 0.334) (multiplicity 4)
Mn (0.000, 0.233, 0.000) (multiplicity 4)
Mn (0.000, 0.500, 0.500) (multiplicity 2)
Mn (0.096, 0.263, 0.667) (multiplicity 8)
Mn (0.098, 0.500, 0.906) (multiplicity 4)
Mn (0.141, 0.365, 0.273) (multiplicity 8)
Mn (0.157, 0.000, 0.865) (multiplicity 4)
Mn (0.250, 0.250, 0.000) (multiplicity 4)
B (0.250, 0.250, 0.500) (multiplicity 4)

The 12 most intense peaks (5 to 70 degrees two-theta), sorted by position:
d [Å], Rel. int.
4.336, 32
3.004, 38
2.992, 76
2.867, 41
2.517, 47
2.396, 42
2.186, 42
2.168, 78
2.150, 100
2.137, 49
2.095, 39
2.067, 51

=====

[4]
# ThMnB14
Simulated powder diffraction line list, Cu Kα X-rays. Input: a structure optimized by DFT (GGA-PBE).

Structure:
a b c (Å): 5.847 10.884 8.330
angles (deg): 90.00 90.00 90.00
Space group Imma (No. 74)
Asymmetric unit:
Th (0.000, 0.250, 0.125) (multiplicity 4)
Mn (0.250, 0.250, 0.750) (multiplicity 4)
B (0.000, 0.083, 0.668) (multiplicity 8)
B (0.000, 0.127, 0.865) (multiplicity 8)
B (0.000, 0.167, 0.469) (multiplicity 8)
B (0.161, 0.060, 0.340) (multiplicity 16)
B (0.249, 0.077, 0.549) (multiplicity 16)

The 12 most intense peaks (5 to 70 degrees two-theta), sorted by position:
d [Å], Rel. int.
6.615, 46
5.442, 100
4.786, 48
3.594, 76
3.239, 96
2.691, 29
2.674, 56
2.478, 61
2.365, 25
2.278, 32
2.196, 44
1.832, 25

=====

[5]
# ThMn2B4
Simulated powder diffraction line list, Cu Kα X-rays. Input: a structure optimized by DFT (GGA-PBE).

Structure:
a b c (Å): 3.070 3.220 15.297
angles (deg): 90.00 90.00 90.00
Space group Immm (No. 71)
Asymmetric unit:
Th (0.000, 0.000, 0.000) (multiplicity 2)
Mn (0.000, 0.500, 0.304) (multiplicity 4)
B (0.000, 0.000, 0.390) (multiplicity 4)
B (0.000, 0.500, 0.161) (multiplicity 4)

The 12 most intense peaks (5 to 70 degrees two-theta), sorted by position:
d [Å], Rel. int.
7.648, 83
3.824, 55
3.151, 81
3.010, 42
2.630, 86
2.549, 32
2.218, 72
2.134, 100
1.921, 28
1.780, 27
1.449, 32
1.373, 23

=====

[6]
# Ti3MnB7
Simulated powder diffraction line list, Cu Kα X-rays. Input: a structure optimized by DFT (GGA-PBE).

Structure:
a b c (Å): 3.095 14.157 8.749
angles (deg): 90.00 90.00 90.00
Space group Cmcm (No. 63)
Asymmetric unit:
Ti (0.000, 0.107, 0.051) (multiplicity 8)
Ti (0.000, 0.248, 0.750) (multiplicity 4)
Mn (0.000, 0.046, 0.750) (multiplicity 4)
B (0.000, 0.272, 0.033) (multiplicity 8)
B (0.000, 0.367, 0.151) (multiplicity 8)
B (0.000, 0.433, 0.750) (multiplicity 4)
B (0.000, 0.486, 0.093) (multiplicity 8)

The 12 most intense peaks (5 to 70 degrees two-theta), sorted by position:
d [Å], Rel. int.
3.024, 74
2.751, 90
2.696, 56
2.359, 29
2.228, 35
2.187, 27
2.099, 100
2.032, 80
1.885, 45
1.772, 32
1.698, 38
1.548, 32

=====

[7]
# TiMnB
Simulated powder diffraction line list, Cu Kα X-rays. Input: a structure optimized by DFT (GGA-PBE).

Structure:
a b c (Å): 3.025 4.701 9.048
angles (deg): 90.00 90.00 90.00
Space group Immm (No. 71)
Asymmetric unit:
Ti (0.000, 0.000, 0.205) (multiplicity 4)
Mn (0.000, 0.263, 0.500) (multiplicity 4)
B (0.000, 0.500, 0.099) (multiplicity 4)

The 12 most intense peaks (5 to 70 degrees two-theta), sorted by position:
d [Å], Rel. int.
4.524, 16
4.172, 8
2.869, 36
2.542, 39
2.262, 34
2.218, 57
2.136, 100
2.086, 92
1.818, 73
1.689, 22
1.513, 21
1.391, 13

=====

[8]
# TmMn8B2
Simulated powder diffraction line list, Cu Kα X-rays. Input: a structure optimized by DFT (GGA-PBE).

Structure:
a b c (Å): 6.004 10.206 4.362
angles (deg): 90.00 90.00 90.00
Space group Cmmm (No. 65)
Asymmetric unit:
Tm (0.000, 0.000, 0.000) (multiplicity 2)
Mn (0.000, 0.281, 0.000) (multiplicity 4)
Mn (0.000, 0.500, 0.238) (multiplicity 4)
Mn (0.183, 0.140, 0.500) (multiplicity 8)
B (0.000, 0.315, 0.500) (multiplicity 4)

The 12 most intense peaks (5 to 70 degrees two-theta), sorted by position:
d [Å], Rel. int.
5.103, 24
3.002, 32
2.587, 24
2.473, 100
2.449, 89
2.202, 86
2.181, 32
2.010, 58
1.944, 66
1.791, 32
1.756, 29
1.353, 44

=====

Repeat the third record exactly.
# Th2Mn17B2
Simulated powder diffraction line list, Cu Kα X-rays. Input: a structure optimized by DFT (GGA-PBE).

Structure:
a b c (Å): 9.661 8.742 6.481
angles (deg): 90.00 98.49 90.00
Space group C2/m (No. 12)
Asymmetric unit:
Th (0.140, 0.000, 0.334) (multiplicity 4)
Mn (0.000, 0.233, 0.000) (multiplicity 4)
Mn (0.000, 0.500, 0.500) (multiplicity 2)
Mn (0.096, 0.263, 0.667) (multiplicity 8)
Mn (0.098, 0.500, 0.906) (multiplicity 4)
Mn (0.141, 0.365, 0.273) (multiplicity 8)
Mn (0.157, 0.000, 0.865) (multiplicity 4)
Mn (0.250, 0.250, 0.000) (multiplicity 4)
B (0.250, 0.250, 0.500) (multiplicity 4)

The 12 most intense peaks (5 to 70 degrees two-theta), sorted by position:
d [Å], Rel. int.
4.336, 32
3.004, 38
2.992, 76
2.867, 41
2.517, 47
2.396, 42
2.186, 42
2.168, 78
2.150, 100
2.137, 49
2.095, 39
2.067, 51